The following is a simulated powder diffractogram of RbDyS2O8. It was derived from a DFT-relaxed cell (GGA-PBE, OQMD), using copper Kα.

a b c (Å): 9.374 12.880 5.277
angles (deg): 90.00 90.00 90.00
Sites, in units of the cell vectors:
Rb1 0.078 0.250 0.250
Rb2 0.422 0.750 0.250
Rb3 0.578 0.250 0.750
Rb4 0.922 0.750 0.750
Dy1 0.250 0.000 0.673
Dy2 0.250 0.500 0.827
Dy3 0.750 0.000 0.327
Dy4 0.750 0.500 0.173
S1 0.086 0.587 0.264
S2 0.086 0.913 0.236
S3 0.414 0.087 0.236
S4 0.414 0.413 0.264
S5 0.586 0.587 0.736
S6 0.586 0.913 0.764
S7 0.914 0.087 0.764
S8 0.914 0.413 0.736
O1 0.067 0.117 0.782
O2 0.067 0.383 0.718
O3 0.100 0.024 0.310
O4 0.100 0.476 0.190
O5 0.154 0.606 0.514
O6 0.154 0.894 0.986
O7 0.158 0.648 0.061
O8 0.158 0.852 0.439
O9 0.342 0.148 0.439
O10 0.342 0.352 0.061
O11 0.346 0.106 0.986
O12 0.346 0.394 0.514
O13 0.400 0.524 0.190
O14 0.400 0.976 0.310
O15 0.433 0.617 0.718
O16 0.433 0.883 0.782
O17 0.567 0.117 0.218
O18 0.567 0.383 0.282
O19 0.600 0.024 0.690
O20 0.600 0.476 0.810
O21 0.654 0.606 0.486
O22 0.654 0.894 0.014
O23 0.658 0.648 0.939
O24 0.658 0.852 0.561
O25 0.842 0.148 0.561
O26 0.842 0.352 0.939
O27 0.846 0.106 0.014
O28 0.846 0.394 0.486
O29 0.900 0.524 0.810
O30 0.900 0.976 0.690
O31 0.933 0.617 0.282
O32 0.933 0.883 0.218

Most intense lines, 5° ≤ 2θ ≤ 70°, in order of falling intensity:
| Position (°2θ) | Rel. int. |
| --- | --- |
| 23.78 | 100 |
| 13.75 | 80 |
| 33.32 | 78 |
| 23.48 | 71 |
| 28.44 | 62 |
| 43.87 | 49 |
| 33.98 | 42 |
| 28.19 | 27 |
| 46.70 | 26 |
| 46.53 | 21 |
| 41.30 | 20 |
| 18.17 | 19 |



The following is a simulated powder diffractogram of RbDySeO. It was derived from a DFT-relaxed cell (GGA-PBE, OQMD), using copper Kα.

a b c (Å): 5.822 5.822 12.084
angles (deg): 90.00 103.91 90.00
Sites, in units of the cell vectors:
Rb1 0.198 0.000 0.392
Rb2 0.302 0.500 0.608
Rb3 0.698 0.500 0.392
Rb4 0.802 0.000 0.608
Dy1 0.207 0.252 0.914
Dy2 0.293 0.752 0.086
Dy3 0.707 0.752 0.914
Dy4 0.793 0.252 0.086
Se1 0.138 0.499 0.270
Se2 0.362 0.999 0.730
Se3 0.638 0.999 0.270
Se4 0.862 0.499 0.730
O1 0.000 0.003 0.000
O2 0.000 0.503 0.000
O3 0.500 0.003 0.000
O4 0.500 0.503 0.000

Most intense lines, 5° ≤ 2θ ≤ 70°, in order of falling intensity:
| Position (°2θ) | Rel. int. |
| --- | --- |
| 28.85 | 100 |
| 31.67 | 78 |
| 7.54 | 76 |
| 34.51 | 66 |
| 24.44 | 52 |
| 43.99 | 47 |
| 53.46 | 35 |
| 57.08 | 31 |
| 34.39 | 22 |
| 49.93 | 21 |
| 65.89 | 16 |
| 63.97 | 15 |



The following is a simulated powder diffractogram of Rb2TbDyO4. It was derived from a DFT-relaxed cell (GGA-PBE, OQMD), using copper Kα.

a b c (Å): 3.481 3.481 12.917
angles (deg): 90.00 90.00 120.00
Sites, in units of the cell vectors:
Rb1 0.333 0.667 0.250
Rb2 0.667 0.333 0.750
Tb1 0.000 0.000 0.500
Dy1 0.000 0.000 0.000
O1 0.333 0.667 0.590
O2 0.333 0.667 0.911
O3 0.667 0.333 0.089
O4 0.667 0.333 0.410

Most intense lines, 5° ≤ 2θ ≤ 70°, in order of falling intensity:
| Position (°2θ) | Rel. int. |
| --- | --- |
| 32.78 | 100 |
| 27.62 | 34 |
| 52.21 | 33 |
| 13.71 | 27 |
| 52.58 | 26 |
| 60.42 | 24 |
| 40.95 | 23 |
| 36.38 | 21 |
| 29.63 | 16 |
| 63.36 | 15 |
| 30.45 | 11 |
| 65.60 | 8 |



The following is a simulated powder diffractogram of Sr2DyReO6. It was derived from a DFT-relaxed cell (GGA-PBE, OQMD), using copper Kα.

a b c (Å): 5.834 5.834 5.834
angles (deg): 60.00 60.00 60.00
Sites, in units of the cell vectors:
Sr1 0.250 0.250 0.250
Sr2 0.750 0.750 0.750
Dy1 0.000 0.000 0.000
Re1 0.500 0.500 0.500
O1 0.264 0.264 0.736
O2 0.264 0.736 0.264
O3 0.264 0.736 0.736
O4 0.736 0.264 0.264
O5 0.736 0.264 0.736
O6 0.736 0.736 0.264

Most intense lines, 5° ≤ 2θ ≤ 70°, in order of falling intensity:
| Position (°2θ) | Rel. int. |
| --- | --- |
| 30.65 | 100 |
| 54.49 | 40 |
| 43.90 | 29 |
| 21.54 | 21 |
| 63.82 | 18 |
| 49.40 | 9 |
| 68.21 | 4 |
| 18.63 | 1 |
| 37.77 | 1 |